Computed PXRD pattern
Compound: Ac3Tl2Cd2
Radiation: a wavelength of 1.5418 Å
Structure: a DFT-relaxed cell (GGA-PBE, Alexandria)
Neutral-atom scattering factors, no anomalous dispersion.

```
14
Lattice="12.1912 0.0000 0.0000 0.0000 5.1163 0.0000 -1.9713 0.0000 7.5517" Properties=species:S:1:pos:R:3 pbc="T T T"
Ac 0.0000 0.0000 0.0000
Ac 0.7979 0.0000 4.6069
Ac 3.3265 2.5581 2.9448
Ac 6.0956 2.5581 0.0000
Ac 6.8935 2.5581 4.6069
Ac 9.4221 0.0000 2.9448
Tl -0.1391 2.5581 2.3879
Tl 4.2634 0.0000 5.1639
Tl 5.9565 0.0000 2.3879
Tl 10.3590 2.5581 5.1639
Cd 0.5407 2.5581 7.0603
Cd 3.5837 0.0000 0.4915
Cd 6.6363 0.0000 7.0603
Cd 9.6793 2.5581 0.4915
```

Most intense lines, 2θ from 10° to 90°, in order of rising 2θ:
hkl	two_theta	d_spacing	I/Imax
1 1 1	23.30	3.818	20
3 1 -1	28.69	3.112	35
1 1 -2	28.82	3.098	100
4 0 -1	29.61	3.017	40
3 1 1	33.21	2.697	82
3 1 -2	33.42	2.681	26
0 2 0	35.08	2.558	44
0 0 3	35.67	2.517	20
4 2 -1	46.54	1.951	24
0 2 3	50.89	1.794	16